Starting from a crystal structure in Alexandria, relaxed with GGA-PBE, the X-ray diffraction stick pattern of CdH4Br3N was computed for a wavelength of 1.5418 Å.
Kinematic intensities with the Lorentz-polarization factor, no thermal factor.

Crystal structure
```
CdH4Br3N
1.0
9.7976 0.0000 0.0000
0.0000 4.2694 0.0000
0.0000 0.0000 15.8860
Cd H Br N
4 16 12 4
direct
0.1606 0.2500 0.0594 Cd
0.3394 0.7500 0.5594 Cd
0.6606 0.2500 0.4406 Cd
0.8394 0.7500 0.9406 Cd
0.0149 0.7500 0.3810 H
0.0493 0.2500 0.7168 H
0.0983 0.5558 0.3011 H
0.0983 0.9442 0.3011 H
0.4017 0.0558 0.8011 H
0.4017 0.4442 0.8011 H
0.4507 0.7500 0.2168 H
0.4851 0.2500 0.8810 H
0.5149 0.7500 0.1190 H
0.5493 0.2500 0.7832 H
0.5983 0.5558 0.1989 H
0.5983 0.9442 0.1989 H
0.9017 0.0558 0.6989 H
0.9017 0.4442 0.6989 H
0.9507 0.7500 0.2832 H
0.9851 0.2500 0.6190 H
0.0302 0.2500 0.9013 Br
0.1689 0.2500 0.5057 Br
0.2443 0.7500 0.7212 Br
0.2557 0.2500 0.2212 Br
0.3311 0.7500 0.0057 Br
0.4698 0.7500 0.4013 Br
0.5302 0.2500 0.5987 Br
0.6689 0.2500 0.9943 Br
0.7443 0.7500 0.7788 Br
0.7557 0.2500 0.2788 Br
0.8311 0.7500 0.4943 Br
0.9698 0.7500 0.0987 Br
0.0401 0.7500 0.3177 N
0.4599 0.2500 0.8177 N
0.5401 0.7500 0.1823 N
0.9599 0.2500 0.6823 N
```

Top 6 peaks for 2θ from 5° to 70°, by angle:
| Position (°2θ) | Rel. int. |
| --- | --- |
| 10.6 | 82 |
| 11.1 | 71 |
| 14.4 | 54 |
| 27.7 | 62 |
| 28.3 | 100 |
| 30.0 | 77 |